[1]
Diffraction record for Ca2PrHoHg4. The X-ray diffraction stick pattern is calculated, not measured: it uses a structure optimized by DFT (GGA-PBE) and Cu Kα (weighted mean of Kα1 and Kα2).
Intensities are scaled so that the largest is 100.

Structure:
a = 9.272 Å, b = 9.272 Å, c = 9.272 Å
α = 33.45°, β = 33.45°, γ = 33.45°
Sites, in units of the cell vectors:
Ca (0.249, 0.249, 0.249)
Ca (0.751, 0.751, 0.751)
Pr (0.000, 0.000, 0.000)
Ho (0.500, 0.500, 0.500)
Hg (0.127, 0.127, 0.127)
Hg (0.378, 0.378, 0.378)
Hg (0.622, 0.622, 0.622)
Hg (0.873, 0.873, 0.873)

Principal peaks in the range 5° ≤ 2θ ≤ 70°, most intense first:
33.55°, rel. 100
60.03°, rel. 28
48.18°, rel. 18
23.55°, rel. 14
59.85°, rel. 9
20.36°, rel. 8
41.43°, rel. 3
39.54°, rel. 3
54.35°, rel. 3
54.24°, rel. 3

[2]
Diffraction record for CaHo2ScHg4. The X-ray diffraction stick pattern is calculated, not measured: it uses a structure optimized by DFT (GGA-PBE) and Cu Kα (weighted mean of Kα1 and Kα2).
Intensities are scaled so that the largest is 100.

Structure:
a = 8.994 Å, b = 8.994 Å, c = 8.994 Å
α = 33.53°, β = 33.53°, γ = 33.53°
Sites, in units of the cell vectors:
Ca (0.000, 0.000, 0.000)
Ho (0.250, 0.250, 0.250)
Ho (0.750, 0.750, 0.750)
Sc (0.500, 0.500, 0.500)
Hg (0.127, 0.127, 0.127)
Hg (0.379, 0.379, 0.379)
Hg (0.621, 0.621, 0.621)
Hg (0.873, 0.873, 0.873)

Principal peaks in the range 5° ≤ 2θ ≤ 70°, most intense first:
34.56°, rel. 100
61.93°, rel. 37
49.68°, rel. 18
24.25°, rel. 12
20.96°, rel. 9
56.03°, rel. 5
40.77°, rel. 5
42.67°, rel. 4
54.49°, rel. 2
66.15°, rel. 2

[3]
Diffraction record for Ca3HgI8. The X-ray diffraction stick pattern is calculated, not measured: it uses a structure optimized by DFT (GGA-PBE) and Cu Kα (weighted mean of Kα1 and Kα2).
Intensities are scaled so that the largest is 100.

Structure:
a = 8.988 Å, b = 8.988 Å, c = 9.321 Å
α = 119.46°, β = 119.46°, γ = 60.01°
Sites, in units of the cell vectors:
Ca (0.000, 0.000, 0.000)
Ca (0.000, 0.500, 0.000)
Ca (0.500, 0.000, 0.000)
Hg (0.500, 0.500, 0.000)
I (0.245, 0.245, 0.232)
I (0.252, 0.742, 0.231)
I (0.258, 0.258, 0.770)
I (0.258, 0.748, 0.769)
I (0.742, 0.252, 0.231)
I (0.742, 0.742, 0.230)
I (0.748, 0.258, 0.769)
I (0.755, 0.755, 0.768)

Principal peaks in the range 5° ≤ 2θ ≤ 70°, most intense first:
27.58°, rel. 100
40.13°, rel. 55
27.85°, rel. 49
11.53°, rel. 45
39.06°, rel. 37
24.19°, rel. 37
49.56°, rel. 26
23.20°, rel. 24
38.66°, rel. 19
24.04°, rel. 18

[4]
Diffraction record for CaIn2HgI8. The X-ray diffraction stick pattern is calculated, not measured: it uses a structure optimized by DFT (GGA-PBE) and Cu Kα (weighted mean of Kα1 and Kα2).
Intensities are scaled so that the largest is 100.

Structure:
a = 12.936 Å, b = 12.936 Å, c = 12.936 Å
α = 34.54°, β = 34.54°, γ = 34.54°
Sites, in units of the cell vectors:
Ca (0.000, 0.000, 0.000)
In (0.256, 0.256, 0.256)
In (0.744, 0.744, 0.744)
Hg (0.500, 0.500, 0.500)
I (0.066, 0.707, 0.379)
I (0.183, 0.183, 0.183)
I (0.293, 0.621, 0.934)
I (0.379, 0.066, 0.707)
I (0.621, 0.934, 0.293)
I (0.707, 0.379, 0.066)
I (0.817, 0.817, 0.817)
I (0.934, 0.293, 0.621)

Principal peaks in the range 5° ≤ 2θ ≤ 70°, most intense first:
24.31°, rel. 100
27.48°, rel. 58
40.70°, rel. 44
37.76°, rel. 43
21.94°, rel. 43
46.71°, rel. 33
16.50°, rel. 33
47.97°, rel. 15
28.57°, rel. 14
44.10°, rel. 14

[5]
Diffraction record for CaScHgI6. The X-ray diffraction stick pattern is calculated, not measured: it uses a structure optimized by DFT (GGA-PBE) and Cu Kα (weighted mean of Kα1 and Kα2).
Intensities are scaled so that the largest is 100.

Structure:
a = 7.214 Å, b = 7.724 Å, c = 7.730 Å
α = 60.05°, β = 89.93°, γ = 89.79°
Sites, in units of the cell vectors:
Ca (0.000, 0.000, 0.000)
Sc (0.000, 0.666, 0.667)
Hg (0.500, 0.333, 0.334)
I (0.236, 0.354, 0.966)
I (0.236, 0.679, 0.355)
I (0.236, 0.965, 0.680)
I (0.764, 0.355, 0.679)
I (0.764, 0.680, 0.966)
I (0.764, 0.966, 0.355)

Principal peaks in the range 5° ≤ 2θ ≤ 70°, most intense first:
26.16°, rel. 100
33.99°, rel. 46
18.08°, rel. 36
40.43°, rel. 35
37.68°, rel. 18
44.34°, rel. 14
48.79°, rel. 13
26.64°, rel. 10
28.10°, rel. 10
24.68°, rel. 10

[6]
Diffraction record for CaInHg3. The X-ray diffraction stick pattern is calculated, not measured: it uses a structure optimized by DFT (GGA-PBE) and Cu Kα (weighted mean of Kα1 and Kα2).
Intensities are scaled so that the largest is 100.

Structure:
a = 8.796 Å, b = 8.796 Å, c = 5.619 Å
α = 90.00°, β = 90.00°, γ = 139.46°
Sites, in units of the cell vectors:
Ca (0.184, 0.816, 0.750)
Ca (0.816, 0.184, 0.250)
In (0.440, 0.560, 0.250)
In (0.560, 0.440, 0.750)
Hg (0.000, 0.000, 0.000)
Hg (0.000, 0.000, 0.500)
Hg (0.110, 0.405, 0.750)
Hg (0.405, 0.110, 0.250)
Hg (0.595, 0.890, 0.750)
Hg (0.890, 0.595, 0.250)

Principal peaks in the range 5° ≤ 2θ ≤ 70°, most intense first:
35.22°, rel. 100
19.11°, rel. 66
36.66°, rel. 54
38.78°, rel. 45
31.29°, rel. 38
35.60°, rel. 37
26.81°, rel. 35
55.64°, rel. 34
10.72°, rel. 33
32.56°, rel. 27

[7]
Diffraction record for CaIn2Hg. The X-ray diffraction stick pattern is calculated, not measured: it uses a structure optimized by DFT (GGA-PBE) and Cu Kα (weighted mean of Kα1 and Kα2).
Intensities are scaled so that the largest is 100.

Structure:
a = 3.697 Å, b = 3.928 Å, c = 7.371 Å
α = 90.00°, β = 90.00°, γ = 90.00°
Sites, in units of the cell vectors:
Ca (0.000, 0.000, 0.000)
In (0.000, 0.000, 0.485)
In (0.500, 0.500, 0.717)
Hg (0.500, 0.500, 0.248)

Principal peaks in the range 5° ≤ 2θ ≤ 70°, most intense first:
33.31°, rel. 100
34.36°, rel. 45
12.01°, rel. 21
58.85°, rel. 19
60.82°, rel. 17
60.92°, rel. 16
24.11°, rel. 12
46.23°, rel. 10
49.30°, rel. 8
49.46°, rel. 7

[8]
Diffraction record for Ca2In3Hg3. The X-ray diffraction stick pattern is calculated, not measured: it uses a structure optimized by DFT (GGA-PBE) and Cu Kα (weighted mean of Kα1 and Kα2).
Intensities are scaled so that the largest is 100.

Structure:
a = 9.103 Å, b = 9.103 Å, c = 9.103 Å
α = 33.59°, β = 33.59°, γ = 33.59°
Sites, in units of the cell vectors:
Ca (0.000, 0.000, 0.000)
Ca (0.493, 0.493, 0.493)
In (0.248, 0.248, 0.248)
In (0.745, 0.745, 0.745)
In (0.872, 0.872, 0.872)
Hg (0.123, 0.123, 0.123)
Hg (0.370, 0.370, 0.370)
Hg (0.620, 0.620, 0.620)

Principal peaks in the range 5° ≤ 2θ ≤ 70°, most intense first:
34.10°, rel. 100
61.04°, rel. 36
48.99°, rel. 18
23.93°, rel. 18
55.24°, rel. 8
20.69°, rel. 6
42.09°, rel. 6
40.22°, rel. 4
53.72°, rel. 2
10.31°, rel. 1